[1]
Starting from a DFT-relaxed cell (GGA-PBE, Alexandria), the powder X-ray diffraction pattern of Th4GaTe was simulated for Cu Ka.

Principal peaks in the range 2θ from 15° to 90°, by angle:
(0 0 2), 26.9°, rel. 17.4; (2 1 1), 30.4°, rel. 100.0; (1 1 2), 32.1°, rel. 20.1; (2 0 2), 36.5°, rel. 20.3; (3 1 0), 38.7°, rel. 25.8; (2 1 3), 49.8°, rel. 26.2; (4 1 1), 53.2°, rel. 13.5; (4 0 2), 57.3°, rel. 11.6; (3 3 2), 60.3°, rel. 17.6; (5 2 1), 70.4°, rel. 12.3

Unit cell a=7.352 b=7.352 c=6.618 alpha=90.00 beta=90.00 gamma=90.00
Positions (direct):
Th (0.152, 0.336, 0.000)
Th (0.152, 0.664, 0.500)
Th (0.336, 0.152, 0.500)
Th (0.336, 0.848, 0.000)
Th (0.664, 0.152, 0.000)
Th (0.664, 0.848, 0.500)
Th (0.848, 0.336, 0.500)
Th (0.848, 0.664, 0.000)
Ga (0.000, 0.000, 0.250)
Ga (0.000, 0.000, 0.750)
Te (0.500, 0.500, 0.250)
Te (0.500, 0.500, 0.750)

***

[2]
Starting from a DFT-relaxed cell (GGA-PBE, Alexandria), the powder X-ray diffraction pattern of TiGaTe4 was simulated for Cu Ka.

Principal peaks in the range 2θ from 15° to 90°, by angle:
(1 0 -2), 28.2°, rel. 65.7; (0 2 1), 28.5°, rel. 85.9; (2 1 0), 29.1°, rel. 100.0; (1 1 -2), 31.0°, rel. 24.2; (1 2 -1), 31.3°, rel. 42.0; (1 1 2), 31.8°, rel. 46.2; (2 1 1), 32.2°, rel. 48.1; (1 3 1), 43.1°, rel. 25.5; (1 1 3), 43.4°, rel. 54.5; (3 0 -2), 46.8°, rel. 27.8

Unit cell a=6.836 b=6.993 c=7.008 alpha=90.00 beta=92.11 gamma=90.00
Positions (direct):
Ti (0.000, 0.000, 0.000)
Ti (0.000, 0.500, 0.500)
Ga (0.500, 0.000, 0.500)
Ga (0.500, 0.500, 0.000)
Te (0.106, 0.143, 0.356)
Te (0.106, 0.357, 0.856)
Te (0.363, 0.613, 0.386)
Te (0.363, 0.887, 0.886)
Te (0.637, 0.113, 0.114)
Te (0.637, 0.387, 0.614)
Te (0.894, 0.643, 0.144)
Te (0.894, 0.857, 0.644)

***

[3]
Starting from a DFT-relaxed cell (GGA-PBE, Alexandria), the powder X-ray diffraction pattern of Ti4GaTe was simulated for Cu Ka.

Principal peaks in the range 2θ from 15° to 90°, by angle:
(1 1 -1), 25.8°, rel. 52.2; (0 2 0), 33.3°, rel. 67.4; (2 0 1), 36.4°, rel. 40.7; (0 0 3), 36.5°, rel. 92.0; (2 1 0), 37.4°, rel. 56.7; (2 1 -1), 38.7°, rel. 37.5; (1 2 1), 39.8°, rel. 100.0; (2 0 -2), 40.1°, rel. 66.1; (0 2 2), 41.5°, rel. 62.9; (2 1 2), 46.3°, rel. 44.7

Unit cell a=5.384 b=5.384 c=7.402 alpha=90.00 beta=93.99 gamma=90.00
Positions (direct):
Ti (0.119, 0.250, 0.349)
Ti (0.165, 0.750, 0.037)
Ti (0.373, 0.504, 0.687)
Ti (0.373, 0.996, 0.687)
Ti (0.627, 0.004, 0.313)
Ti (0.627, 0.496, 0.313)
Ti (0.835, 0.250, 0.963)
Ti (0.881, 0.750, 0.651)
Ga (0.179, 0.750, 0.388)
Ga (0.821, 0.250, 0.612)
Te (0.330, 0.250, 0.026)
Te (0.670, 0.750, 0.974)

***

Question: Which formula does entry 3 have?
Answer: Ti4GaTe